Theoretical powder X-ray diffraction pattern
Compound: Ac2Nd2Sm7
Radiation: Cu Kα X-rays
Structure: a GGA-PBE-relaxed structure

The 12 most intense peaks (2θ = 10–90°), in order of rising 2θ:
21.60°, rel. 35, hkl 0 2 1
26.02°, rel. 41, hkl 1 1 2
26.53°, rel. 24, hkl 2 2 -1
28.33°, rel. 59, hkl 3 1 -1
29.81°, rel. 74, hkl 2 0 -3
30.50°, rel. 100, hkl 2 2 1
30.99°, rel. 24, hkl 2 0 2
31.18°, rel. 37, hkl 1 3 -1
34.88°, rel. 59, hkl 1 3 -2
40.67°, rel. 22, hkl 3 3 0
50.33°, rel. 23, hkl 4 2 -4
56.93°, rel. 26, hkl 3 5 -1

Crystal structure
```
data_Ac2Nd2Sm7
_space_group_name_H-M_alt 'C 1 2/m 1'
_space_group_IT_number 12
_cell_length_a 10.069
_cell_length_b 9.237
_cell_length_c 9.504
_cell_angle_alpha 90.00
_cell_angle_beta 107.64
_cell_angle_gamma 90.00
loop_
_space_group_symop_operation_xyz
'x,y,z'
'-x,-y,-z'
'-x,y,-z'
'x,-y,z'
'x+1/2,y+1/2,z'
'-x+1/2,-y+1/2,-z'
'-x+1/2,y+1/2,-z'
'x+1/2,-y+1/2,z'
loop_
_atom_site_label
_atom_site_fract_x
_atom_site_fract_y
_atom_site_fract_z
Ac1 0.125 0.000 0.403
Nd1 0.000 0.161 0.000
Sm1 0.000 0.500 0.500
Sm2 0.148 0.308 0.781
Sm3 0.154 0.500 0.143
```

=====

Theoretical powder X-ray diffraction pattern
Compound: Li2SnGeSe4
Radiation: Cu Kα X-rays
Structure: a GGA-PBE-relaxed structure

The 12 most intense peaks (2θ = 10–90°), in order of rising 2θ:
18.32°, rel. 58, hkl 2 0 0
19.15°, rel. 76, hkl 0 1 1
22.58°, rel. 63, hkl 2 1 0
26.34°, rel. 79, hkl 0 2 0
26.62°, rel. 51, hkl 2 1 1
28.04°, rel. 100, hkl 0 0 2
37.13°, rel. 50, hkl 4 0 0
38.85°, rel. 41, hkl 0 2 2
44.30°, rel. 56, hkl 2 3 0
47.17°, rel. 36, hkl 4 0 2
48.76°, rel. 49, hkl 2 1 3
53.25°, rel. 46, hkl 2 3 2

Crystal structure
```
data_Li2SnGeSe4
_space_group_name_H-M_alt 'P m n 21'
_space_group_IT_number 31
_cell_length_a 9.685
_cell_length_b 6.767
_cell_length_c 6.363
_cell_angle_alpha 90.00
_cell_angle_beta 90.00
_cell_angle_gamma 90.00
loop_
_space_group_symop_operation_xyz
'x,y,z'
'-x+1/2,-y,z+1/2'
'-x,y,z'
'x+1/2,-y,z+1/2'
loop_
_atom_site_label
_atom_site_fract_x
_atom_site_fract_y
_atom_site_fract_z
Li1 0.249 0.190 0.000
Sn1 0.000 0.718 0.983
Ge1 0.000 0.332 0.517
Se1 0.000 0.320 0.899
Se2 0.000 0.678 0.421
Se3 0.212 0.185 0.407
```

=====

Theoretical powder X-ray diffraction pattern
Compound: Na2Ce2TiSiC2O12
Radiation: Cu Kα X-rays
Structure: a GGA-PBE-relaxed structure

The 12 most intense peaks (2θ = 10–90°), in order of rising 2θ:
12.88°, rel. 100, hkl 0 0 2
24.12°, rel. 29, hkl 1 1 3
25.08°, rel. 30, hkl 0 2 1
25.26°, rel. 36, hkl 1 0 3
25.49°, rel. 25, hkl 1 -1 0
26.87°, rel. 24, hkl 0 2 -1
29.14°, rel. 29, hkl 1 2 3
31.87°, rel. 30, hkl 1 -1 3
32.06°, rel. 37, hkl 1 2 -2
32.55°, rel. 48, hkl -1 1 3
35.35°, rel. 29, hkl 2 1 1
37.74°, rel. 38, hkl 0 3 1

Crystal structure
```
data_Na2Ce2TiSiC2O12
_space_group_name_H-M_alt 'P -1'
_space_group_IT_number 2
_cell_length_a 5.079
_cell_length_b 7.574
_cell_length_c 14.119
_cell_angle_alpha 79.01
_cell_angle_beta 79.75
_cell_angle_gamma 70.96
loop_
_space_group_symop_operation_xyz
'x,y,z'
'-x,-y,-z'
loop_
_atom_site_label
_atom_site_fract_x
_atom_site_fract_y
_atom_site_fract_z
Na1 0.000 0.000 0.000
Na2 0.000 0.500 0.500
Na3 0.320 0.361 0.976
Ce1 0.087 0.159 0.719
Ce2 0.191 0.276 0.287
Ti1 0.300 0.897 0.498
Si1 0.406 0.462 0.641
C1 0.278 0.712 0.857
C2 0.444 0.896 0.154
O1 0.002 0.949 0.417
O2 0.073 0.693 0.920
O3 0.193 0.437 0.742
O4 0.222 0.662 0.582
O5 0.234 0.810 0.769
O6 0.271 0.833 0.124
O7 0.281 0.542 0.343
O8 0.317 0.103 0.892
O9 0.373 0.954 0.241
O10 0.405 0.289 0.585
O11 0.425 0.102 0.419
O12 0.462 0.363 0.127
```

=====

Theoretical powder X-ray diffraction pattern
Compound: Y4CoRh
Radiation: Cu Kα X-rays
Structure: a GGA-PBE-relaxed structure

The 12 most intense peaks (2θ = 10–90°), in order of rising 2θ:
19.49°, rel. 53, hkl 2 0 0
29.51°, rel. 100, hkl 2 0 2
31.05°, rel. 32, hkl 3 1 0
38.34°, rel. 60, hkl 3 1 2
39.58°, rel. 35, hkl 4 0 0
44.73°, rel. 20, hkl 0 0 4
47.96°, rel. 48, hkl 3 3 2
50.13°, rel. 18, hkl 4 2 2
55.45°, rel. 12, hkl 3 1 4
59.15°, rel. 13, hkl 5 3 0
61.24°, rel. 18, hkl 4 0 4
84.46°, rel. 18, hkl 7 3 2

Crystal structure
```
data_Y4CoRh
_space_group_name_H-M_alt 'I 41 m d'
_space_group_IT_number 109
_space_group_name_Hall 'I 4bw -2'
_cell_length_a 9.108
_cell_length_b 9.108
_cell_length_c 8.104
_cell_angle_alpha 90.00
_cell_angle_beta 90.00
_cell_angle_gamma 90.00
loop_
_atom_site_label
_atom_site_fract_x
_atom_site_fract_y
_atom_site_fract_z
Y1 0.000 0.296 0.000
Y2 0.000 0.302 0.486
Co1 0.000 0.000 0.991
Rh1 0.000 0.000 0.495
```

=====

Theoretical powder X-ray diffraction pattern
Compound: Sm3Ga2Pd3
Radiation: Cu Kα X-rays
Structure: a GGA-PBE-relaxed structure

The 12 most intense peaks (2θ = 10–90°), in order of rising 2θ:
29.97°, rel. 68, hkl 1 4 1
32.49°, rel. 100, hkl 2 4 0
32.69°, rel. 45, hkl 2 3 1
33.30°, rel. 51, hkl 1 0 2
33.80°, rel. 59, hkl 1 1 2
34.43°, rel. 41, hkl 0 6 0
36.16°, rel. 88, hkl 2 4 1
37.62°, rel. 79, hkl 1 3 2
38.10°, rel. 87, hkl 3 0 1
40.71°, rel. 61, hkl 1 4 2
49.50°, rel. 28, hkl 4 0 1
53.33°, rel. 27, hkl 1 7 2

Crystal structure
```
data_Sm3Ga2Pd3
_space_group_name_H-M_alt 'P n m a'
_space_group_IT_number 62
_cell_length_a 7.776
_cell_length_b 15.629
_cell_length_c 5.736
_cell_angle_alpha 90.00
_cell_angle_beta 90.00
_cell_angle_gamma 90.00
loop_
_space_group_symop_operation_xyz
'x,y,z'
'-x,-y,-z'
'-x+1/2,-y,z+1/2'
'x+1/2,y,-z+1/2'
'x+1/2,-y+1/2,-z+1/2'
'-x+1/2,y+1/2,z+1/2'
'-x,y+1/2,-z'
'x,-y+1/2,z'
loop_
_atom_site_label
_atom_site_fract_x
_atom_site_fract_y
_atom_site_fract_z
Sm1 0.034 0.106 0.144
Sm2 0.173 0.250 0.617
Ga1 0.117 0.606 0.357
Pd1 0.177 0.034 0.586
Pd2 0.183 0.750 0.609
```

=====

Theoretical powder X-ray diffraction pattern
Compound: K3Tl2Au3
Radiation: Cu Kα X-rays
Structure: a GGA-PBE-relaxed structure

The 12 most intense peaks (2θ = 10–90°), in order of rising 2θ:
10.91°, rel. 76, hkl 0 0 2
14.16°, rel. 48, hkl 0 2 0
20.03°, rel. 59, hkl 1 1 1
21.73°, rel. 63, hkl 0 2 3
28.52°, rel. 47, hkl 1 3 1
29.34°, rel. 66, hkl 1 1 4
32.59°, rel. 71, hkl 1 3 3
33.11°, rel. 38, hkl 0 0 6
35.81°, rel. 38, hkl 1 3 4
36.24°, rel. 100, hkl 2 0 0
41.97°, rel. 49, hkl 1 5 2
43.72°, rel. 39, hkl 1 1 7

Crystal structure
```
data_K3Tl2Au3
_space_group_name_H-M_alt 'C m c m'
_space_group_IT_number 63
_space_group_name_Hall '-C 2c 2'
_cell_length_a 4.956
_cell_length_b 12.505
_cell_length_c 16.224
_cell_angle_alpha 90.00
_cell_angle_beta 90.00
_cell_angle_gamma 90.00
loop_
_atom_site_label
_atom_site_fract_x
_atom_site_fract_y
_atom_site_fract_z
K1 0.000 0.075 0.115
K2 0.000 0.371 0.250
Tl1 0.000 0.217 0.586
Au1 0.000 0.325 0.750
Au2 0.000 0.396 0.032
```

=====

Theoretical powder X-ray diffraction pattern
Compound: InGaHg2I4
Radiation: Cu Kα X-rays
Structure: a GGA-PBE-relaxed structure

The 12 most intense peaks (2θ = 10–90°), in order of rising 2θ:
12.92°, rel. 32, hkl 1 1 1
21.43°, rel. 21, hkl 1 3 1
21.90°, rel. 47, hkl 0 2 6
22.97°, rel. 26, hkl 2 0 2
23.12°, rel. 100, hkl 1 3 3
24.40°, rel. 30, hkl 0 0 8
25.26°, rel. 32, hkl 2 2 0
26.18°, rel. 82, hkl 1 3 5
28.83°, rel. 58, hkl 2 0 6
38.12°, rel. 21, hkl 2 0 10
40.23°, rel. 23, hkl 1 3 11
43.19°, rel. 27, hkl 2 6 0

Crystal structure
```
data_InGaHg2I4
_space_group_name_H-M_alt 'F d d d'
_space_group_IT_number 70
_cell_length_a 8.030
_cell_length_b 14.731
_cell_length_c 29.184
_cell_angle_alpha 90.00
_cell_angle_beta 90.00
_cell_angle_gamma 90.00
loop_
_space_group_symop_operation_xyz
'x,y,z'
'-x,-y,-z'
'-x+1/4,-y+1/4,z'
'x+1/4,y+1/4,-z'
'x,-y+1/4,-z+1/4'
'-x,y+1/4,z+1/4'
'-x+1/4,y,-z+1/4'
'x+1/4,-y,z+1/4'
'x,y+1/2,z+1/2'
'-x,-y+1/2,-z+1/2'
'-x+1/4,-y+3/4,z+1/2'
'x+1/4,y+3/4,-z+1/2'
'x,-y+3/4,-z+3/4'
'-x,y+3/4,z+3/4'
'-x+1/4,y+1/2,-z+3/4'
'x+1/4,-y+1/2,z+3/4'
'x+1/2,y,z+1/2'
'-x+1/2,-y,-z+1/2'
'-x+3/4,-y+1/4,z+1/2'
'x+3/4,y+1/4,-z+1/2'
'x+1/2,-y+1/4,-z+3/4'
'-x+1/2,y+1/4,z+3/4'
'-x+3/4,y,-z+3/4'
'x+3/4,-y,z+3/4'
'x+1/2,y+1/2,z'
'-x+1/2,-y+1/2,-z'
'-x+3/4,-y+3/4,z'
'x+3/4,y+3/4,-z'
'x+1/2,-y+3/4,-z+1/4'
'-x+1/2,y+3/4,z+1/4'
'-x+3/4,y+1/2,-z+1/4'
'x+3/4,-y+1/2,z+1/4'
loop_
_atom_site_label
_atom_site_fract_x
_atom_site_fract_y
_atom_site_fract_z
In1 0.125 0.125 0.125
Ga1 0.125 0.125 0.625
Hg1 0.125 0.125 0.303
I1 0.080 0.271 0.430
```

=====

Theoretical powder X-ray diffraction pattern
Compound: CdGaAg2W
Radiation: Cu Kα X-rays
Structure: a GGA-PBE-relaxed structure

The 12 most intense peaks (2θ = 10–90°), in order of rising 2θ:
17.92°, rel. 69, hkl 1 0 0
30.82°, rel. 100, hkl 1 1 1
34.58°, rel. 49, hkl 0 0 2
36.29°, rel. 86, hkl 2 0 0
39.21°, rel. 19, hkl 1 0 2
40.76°, rel. 17, hkl 2 1 0
51.00°, rel. 63, hkl 2 0 2
52.27°, rel. 29, hkl 2 2 0
54.49°, rel. 15, hkl 2 1 2
59.64°, rel. 15, hkl 1 1 3
61.91°, rel. 27, hkl 3 1 1
64.20°, rel. 31, hkl 2 2 2

Crystal structure
```
data_CdGaAg2W
_space_group_name_H-M_alt 'P 4/m m m'
_space_group_IT_number 123
_space_group_name_Hall '-P 4 2'
_cell_length_a 4.950
_cell_length_b 4.950
_cell_length_c 5.188
_cell_angle_alpha 90.00
_cell_angle_beta 90.00
_cell_angle_gamma 90.00
loop_
_atom_site_label
_atom_site_fract_x
_atom_site_fract_y
_atom_site_fract_z
Cd1 0.000 0.000 0.000
Ga1 0.500 0.500 0.500
Ag1 0.000 0.500 0.000
W1 0.000 0.000 0.500
```